Starting from a DFT-relaxed cell (GGA-PBE, Alexandria), the X-ray powder pattern of TaAl2Si was computed for Cu Kα.

Principal peaks in the range 10° ≤ 2θ ≤ 90°, in order of falling intensity:
2θ/deg	I (rel.)
25.76	100
39.71	99
20.60	45
39.40	34
48.21	28
33.57	27
55.46	26
84.14	23

Cell and atoms:
```
data_TaAl2Si
_chemical_formula_sum 'Ta2 Al4 Si2'
_symmetry_space_group_name_H-M 'I 4/m m m'
_symmetry_Int_Tables_number 139
_symmetry_space_group_name_Hall '-I 4 2'
_cell_length_a 3.775
_cell_length_b 3.775
_cell_length_c 8.624
_cell_angle_alpha 90.00
_cell_angle_beta 90.00
_cell_angle_gamma 90.00
loop_
_atom_site_label
_atom_site_fract_x
_atom_site_fract_y
_atom_site_fract_z
Ta1 0.000 0.000 0.000
Al1 0.000 0.500 0.250
Si1 0.000 0.000 0.500
```